[1]
Starting from a GGA-PBE-relaxed structure, the X-ray diffraction stick pattern of GaICl3 was computed for Cu Kα.
Peak positions follow from Bragg's law for the DFT cell and can differ from measured ones.

Principal peaks in the range 2θ from 10° to 90°, by angle:
| 2theta | I/Imax |
| --- | --- |
| 14.4 | 100 |
| 16.1 | 64 |
| 16.5 | 32 |
| 20.1 | 48 |
| 24.3 | 37 |
| 31.0 | 33 |

Structure:
```
data_GaICl3
_cell_length_a 10.910
_cell_length_b 7.438
_cell_length_c 14.312
_cell_angle_alpha 90.00
_cell_angle_beta 129.65
_cell_angle_gamma 90.00
_symmetry_space_group_name_H-M 'P 1'
_symmetry_Int_Tables_number 1
_symmetry_space_group_name_Hall 'P 1'
loop_
_atom_site_label
_atom_site_fract_x
_atom_site_fract_y
_atom_site_fract_z
Ga1 0.054 0.186 0.079
Ga2 0.054 0.314 0.579
Ga3 0.946 0.686 0.421
Ga4 0.946 0.814 0.921
I1 0.429 0.110 0.028
I2 0.429 0.390 0.528
I3 0.571 0.610 0.472
I4 0.571 0.890 0.972
Cl1 0.043 0.742 0.837
Cl2 0.043 0.758 0.337
Cl3 0.146 0.610 0.625
Cl4 0.146 0.890 0.125
Cl5 0.225 0.144 0.595
Cl6 0.225 0.356 0.095
Cl7 0.775 0.644 0.905
Cl8 0.775 0.856 0.405
Cl9 0.854 0.110 0.875
Cl10 0.854 0.390 0.375
Cl11 0.957 0.242 0.663
Cl12 0.957 0.258 0.163
```


[2]
Starting from a GGA-PBE-relaxed structure, the X-ray diffraction stick pattern of K3NaS2 was computed for Cu Kα.
Peak positions follow from Bragg's law for the DFT cell and can differ from measured ones.

Principal peaks in the range 2θ from 10° to 90°, by angle:
| 2theta | I/Imax |
| --- | --- |
| 31.6 | 100 |
| 35.3 | 75 |
| 48.1 | 27 |
| 61.0 | 24 |
| 62.1 | 24 |
| 63.3 | 11 |

Structure:
```
data_K3NaS2
_cell_length_a 5.089
_cell_length_b 5.089
_cell_length_c 7.389
_cell_angle_alpha 90.00
_cell_angle_beta 90.00
_cell_angle_gamma 120.00
_symmetry_space_group_name_H-M 'P 1'
_symmetry_Int_Tables_number 1
_symmetry_space_group_name_Hall 'P 1'
loop_
_atom_site_label
_atom_site_fract_x
_atom_site_fract_y
_atom_site_fract_z
K1 0.000 0.000 0.000
K2 0.333 0.667 0.251
K3 0.333 0.667 0.749
Na1 0.667 0.333 0.500
S1 0.000 0.000 0.500
S2 0.667 0.333 0.000
```


[3]
Starting from a GGA-PBE-relaxed structure, the X-ray diffraction stick pattern of CsTl2BiAu was computed for Cu Kα.
Peak positions follow from Bragg's law for the DFT cell and can differ from measured ones.

Principal peaks in the range 2θ from 10° to 90°, by angle:
| 2theta | I/Imax |
| --- | --- |
| 11.2 | 100 |
| 20.0 | 43 |
| 26.0 | 39 |
| 28.0 | 48 |
| 32.7 | 50 |
| 33.3 | 66 |

Structure:
```
data_CsTl2BiAu
_cell_length_a 5.386
_cell_length_b 5.386
_cell_length_c 7.891
_cell_angle_alpha 90.00
_cell_angle_beta 90.00
_cell_angle_gamma 90.00
_symmetry_space_group_name_H-M 'P 1'
_symmetry_Int_Tables_number 1
_symmetry_space_group_name_Hall 'P 1'
loop_
_atom_site_label
_atom_site_fract_x
_atom_site_fract_y
_atom_site_fract_z
Cs1 0.000 0.000 0.000
Tl1 0.000 0.500 0.433
Tl2 0.500 0.000 0.433
Bi1 0.500 0.500 0.203
Au1 0.000 0.000 0.555
```


[4]
Starting from a GGA-PBE-relaxed structure, the X-ray diffraction stick pattern of BaPtRhO4 was computed for Cu Kα.
Peak positions follow from Bragg's law for the DFT cell and can differ from measured ones.

Principal peaks in the range 2θ from 10° to 90°, by angle:
| 2theta | I/Imax |
| --- | --- |
| 16.3 | 39 |
| 25.7 | 40 |
| 27.6 | 100 |
| 32.8 | 52 |
| 33.2 | 70 |
| 33.3 | 69 |

Structure:
```
data_BaPtRhO4
_cell_length_a 7.171
_cell_length_b 7.171
_cell_length_c 6.192
_cell_angle_alpha 115.44
_cell_angle_beta 115.44
_cell_angle_gamma 104.75
_symmetry_space_group_name_H-M 'P 1'
_symmetry_Int_Tables_number 1
_symmetry_space_group_name_Hall 'P 1'
loop_
_atom_site_label
_atom_site_fract_x
_atom_site_fract_y
_atom_site_fract_z
Ba1 0.097 0.903 0.750
Ba2 0.903 0.097 0.250
Pt1 0.500 0.500 0.000
Pt2 0.500 0.500 0.500
Rh1 0.000 0.500 0.000
Rh2 0.500 0.000 0.500
O1 0.234 0.763 0.447
O2 0.237 0.766 0.053
O3 0.238 0.364 0.052
O4 0.364 0.238 0.552
O5 0.636 0.762 0.448
O6 0.762 0.636 0.948
O7 0.763 0.234 0.947
O8 0.766 0.237 0.553
```


[5]
Starting from a GGA-PBE-relaxed structure, the X-ray diffraction stick pattern of LiScPaW was computed for Cu Kα.
Peak positions follow from Bragg's law for the DFT cell and can differ from measured ones.

Principal peaks in the range 2θ from 10° to 90°, by angle:
| 2theta | I/Imax |
| --- | --- |
| 22.7 | 72 |
| 37.4 | 100 |
| 44.2 | 39 |
| 53.9 | 18 |
| 59.2 | 17 |
| 67.5 | 36 |

Structure:
```
data_LiScPaW
_cell_length_a 4.807
_cell_length_b 4.807
_cell_length_c 4.807
_cell_angle_alpha 60.00
_cell_angle_beta 60.00
_cell_angle_gamma 60.00
_symmetry_space_group_name_H-M 'P 1'
_symmetry_Int_Tables_number 1
_symmetry_space_group_name_Hall 'P 1'
loop_
_atom_site_label
_atom_site_fract_x
_atom_site_fract_y
_atom_site_fract_z
Li1 0.000 0.000 0.000
Sc1 0.250 0.250 0.250
Pa1 0.750 0.750 0.750
W1 0.500 0.500 0.500
```


[6]
Starting from a GGA-PBE-relaxed structure, the X-ray diffraction stick pattern of RbSb3Au was computed for Cu Kα.
Peak positions follow from Bragg's law for the DFT cell and can differ from measured ones.

Principal peaks in the range 2θ from 10° to 90°, by angle:
| 2theta | I/Imax |
| --- | --- |
| 13.3 | 100 |
| 25.3 | 47 |
| 25.5 | 96 |
| 33.6 | 39 |
| 36.7 | 40 |
| 42.0 | 59 |

Structure:
```
data_RbSb3Au
_cell_length_a 8.303
_cell_length_b 8.303
_cell_length_c 8.303
_cell_angle_alpha 62.36
_cell_angle_beta 62.36
_cell_angle_gamma 62.36
_symmetry_space_group_name_H-M 'P 1'
_symmetry_Int_Tables_number 1
_symmetry_space_group_name_Hall 'P 1'
loop_
_atom_site_label
_atom_site_fract_x
_atom_site_fract_y
_atom_site_fract_z
Rb1 0.200 0.200 0.200
Rb2 0.800 0.800 0.800
Sb1 0.197 0.197 0.737
Sb2 0.197 0.737 0.197
Sb3 0.263 0.803 0.803
Sb4 0.737 0.197 0.197
Sb5 0.803 0.263 0.803
Sb6 0.803 0.803 0.263
Au1 0.365 0.365 0.365
Au2 0.635 0.635 0.635
```